Entry 1:
Calculated powder XRD pattern
Compound: BeCo2Ge
Radiation: λ = 1.5418 Å (Cu Kα)
Structure: a crystal structure in the Materials Project, relaxed with GGA-PBE

Most intense lines, 2θ = 10–80°, in order of rising 2θ:
2theta	d/Å	I_rel
16.6	5.337	29.8
36.2	2.480	32.9
45.8	1.980	55.1
47.0	1.932	100.0
49.1	1.856	7.7
66.8	1.400	16.7

Cell and atoms:
Cell: 2.8001 2.8001 5.3367 Å, 90.00 90.00 90.00°
Positions (direct):
Be1 0.0000 0.0000 0.0000
Co1 0.5000 0.5000 0.2370
Co2 0.5000 0.5000 0.7630
Ge1 0.0000 0.0000 0.5000

---

Entry 2:
Calculated powder XRD pattern
Compound: BeCo2Ge
Radiation: λ = 1.5418 Å (Cu Kα)
Structure: a crystal structure in the Materials Project, relaxed with GGA-PBE

Most intense lines, 2θ = 10–80°, in order of rising 2θ:
2theta	d/Å	I_rel
28.1	3.177	31.1
32.5	2.751	6.3
46.7	1.945	100.0
55.4	1.659	13.9
68.2	1.376	15.0
75.3	1.262	5.5

Cell and atoms:
Cell: 5.5023 5.5023 5.5023 Å, 90.00 90.00 90.00°
Positions (direct):
Be1 0.0000 0.0000 0.0000
Be2 0.0000 0.5000 0.5000
Be3 0.5000 0.0000 0.5000
Be4 0.5000 0.5000 0.0000
Co1 0.2500 0.2500 0.2500
Co2 0.2500 0.2500 0.7500
Co3 0.2500 0.7500 0.2500
Co4 0.2500 0.7500 0.7500
Co5 0.7500 0.2500 0.2500
Co6 0.7500 0.2500 0.7500
Co7 0.7500 0.7500 0.2500
Co8 0.7500 0.7500 0.7500
Ge1 0.0000 0.0000 0.5000
Ge2 0.0000 0.5000 0.0000
Ge3 0.5000 0.0000 0.0000
Ge4 0.5000 0.5000 0.5000

---

Entry 3:
Calculated powder XRD pattern
Compound: Hf6Be15Co8
Radiation: λ = 1.5418 Å (Cu Kα)
Structure: a crystal structure in the Materials Project, relaxed with GGA-PBE

Most intense lines, 2θ = 10–80°, in order of rising 2θ:
2theta	d/Å	I_rel
16.2	5.465	41.9
28.3	3.155	100.0
35.8	2.508	60.1
43.0	2.104	69.8
47.0	1.932	76.2
70.5	1.335	27.3

Cell and atoms:
Cell: 7.7289 7.7289 7.7289 Å, 60.00 60.00 60.00°
Positions (direct):
Hf1 0.2111 0.2111 0.7889
Hf2 0.2111 0.7889 0.2111
Hf3 0.2111 0.7889 0.7889
Hf4 0.7889 0.2111 0.2111
Hf5 0.7889 0.2111 0.7889
Hf6 0.7889 0.7889 0.2111
Be1 0.0000 0.0000 0.5000
Be2 0.0000 0.5000 0.0000
Be3 0.0000 0.5000 0.5000
Be4 0.1778 0.1778 0.1778
Be5 0.1778 0.1778 0.4666
Be6 0.1778 0.4666 0.1778
Be7 0.4666 0.1778 0.1778
Be8 0.5000 0.0000 0.0000
Be9 0.5000 0.0000 0.5000
Be10 0.5000 0.5000 0.0000
Be11 0.5000 0.5000 0.5000
Be12 0.5334 0.8222 0.8222
Be13 0.8222 0.5334 0.8222
Be14 0.8222 0.8222 0.5334
Be15 0.8222 0.8222 0.8222
Co1 0.1260 0.6247 0.6247
Co2 0.3753 0.3753 0.3753
Co3 0.3753 0.3753 0.8740
Co4 0.3753 0.8740 0.3753
Co5 0.6247 0.1260 0.6247
Co6 0.6247 0.6247 0.1260
Co7 0.6247 0.6247 0.6247
Co8 0.8740 0.3753 0.3753

---

Entry 4:
Calculated powder XRD pattern
Compound: Be2CoNi
Radiation: λ = 1.5418 Å (Cu Kα)
Structure: a crystal structure in the Materials Project, relaxed with GGA-PBE

Most intense lines, 2θ = 10–80°, in order of rising 2θ:
2theta	d/Å	I_rel
34.6	2.593	100.0
49.7	1.834	98.5
62.0	1.497	22.0
73.0	1.297	14.4

Cell and atoms:
Cell: 5.1867 5.1867 5.1867 Å, 90.00 90.00 90.00°
Positions (direct):
Be1 0.2500 0.2500 0.2500
Be2 0.2500 0.2500 0.7500
Be3 0.2500 0.7500 0.2500
Be4 0.2500 0.7500 0.7500
Be5 0.7500 0.2500 0.2500
Be6 0.7500 0.2500 0.7500
Be7 0.7500 0.7500 0.2500
Be8 0.7500 0.7500 0.7500
Co1 0.0000 0.0000 0.0000
Co2 0.0000 0.5000 0.5000
Co3 0.5000 0.0000 0.5000
Co4 0.5000 0.5000 0.0000
Ni1 0.0000 0.0000 0.5000
Ni2 0.0000 0.5000 0.0000
Ni3 0.5000 0.0000 0.0000
Ni4 0.5000 0.5000 0.5000

---

Entry 5:
Calculated powder XRD pattern
Compound: Be2CoPt
Radiation: λ = 1.5418 Å (Cu Kα)
Structure: a crystal structure in the Materials Project, relaxed with GGA-PBE

Most intense lines, 2θ = 10–80°, in order of rising 2θ:
2theta	d/Å	I_rel
28.3	3.148	54.8
32.9	2.726	100.0
47.1	1.928	88.1
55.9	1.644	27.1
58.6	1.574	25.4
78.4	1.219	32.3

Cell and atoms:
Cell: 5.4527 5.4527 5.4527 Å, 90.00 90.00 90.00°
Positions (direct):
Be1 0.2500 0.2500 0.2500
Be2 0.2500 0.2500 0.7500
Be3 0.2500 0.7500 0.2500
Be4 0.2500 0.7500 0.7500
Be5 0.7500 0.2500 0.2500
Be6 0.7500 0.2500 0.7500
Be7 0.7500 0.7500 0.2500
Be8 0.7500 0.7500 0.7500
Co1 0.0000 0.0000 0.0000
Co2 0.0000 0.5000 0.5000
Co3 0.5000 0.0000 0.5000
Co4 0.5000 0.5000 0.0000
Pt1 0.0000 0.0000 0.5000
Pt2 0.0000 0.5000 0.0000
Pt3 0.5000 0.0000 0.0000
Pt4 0.5000 0.5000 0.5000

---

Entry 6:
Calculated powder XRD pattern
Compound: BeCo2Si
Radiation: λ = 1.5418 Å (Cu Kα)
Structure: a crystal structure in the Materials Project, relaxed with GGA-PBE

Most intense lines, 2θ = 10–80°, in order of rising 2θ:
2theta	d/Å	I_rel
28.8	3.097	5.8
33.4	2.682	46.5
48.0	1.896	100.0
59.7	1.548	10.3
70.2	1.341	14.8
80.0	1.199	11.7

Cell and atoms:
Cell: 5.3639 5.3639 5.3639 Å, 90.00 90.00 90.00°
Positions (direct):
Be1 0.0000 0.0000 0.0000
Be2 0.0000 0.5000 0.5000
Be3 0.5000 0.0000 0.5000
Be4 0.5000 0.5000 0.0000
Co1 0.2500 0.2500 0.2500
Co2 0.2500 0.2500 0.7500
Co3 0.2500 0.7500 0.2500
Co4 0.2500 0.7500 0.7500
Co5 0.7500 0.2500 0.2500
Co6 0.7500 0.2500 0.7500
Co7 0.7500 0.7500 0.2500
Co8 0.7500 0.7500 0.7500
Si1 0.0000 0.0000 0.5000
Si2 0.0000 0.5000 0.0000
Si3 0.5000 0.0000 0.0000
Si4 0.5000 0.5000 0.5000